The following is a theoretical XRD peak list of Sm. It was derived from DFT lattice parameters and positions (PBE), using CuKα.

Main lines, most intense first (2θ from 15° to 90°):
2θ (°)	Rel. int.
32.36	100
31.98	55
30.73	39
28.38	26
59.59	24
55.67	21
49.71	20
42.32	17
61.04	17
55.43	12

a = 3.6684 Å, b = 3.6684 Å, c = 5.8190 Å
α = 90.00°, β = 90.00°, γ = 120.98°
Fractional coordinates of all 2 atoms:
Sm: 0.1635 0.8365 0.7500
Sm: 0.8365 0.1635 0.2500

The following is a theoretical XRD peak list of Sm. It was derived from DFT lattice parameters and positions (PBE), using CuKα.

Main lines, most intense first (2θ from 15° to 90°):
2θ (°)	Rel. int.
30.23	100
35.05	51
59.92	43
50.41	36
82.04	18
84.66	16
62.88	12
74.07	6

a = 3.6203 Å, b = 3.6203 Å, c = 3.6203 Å
α = 60.00°, β = 60.00°, γ = 60.00°
Fractional coordinates of all 1 atoms:
Sm: 0.0000 0.0000 0.0000

The following is a theoretical XRD peak list of Sm. It was derived from DFT lattice parameters and positions (PBE), using CuKα.

Main lines, most intense first (2θ from 15° to 90°):
2θ (°)	Rel. int.
30.25	100
35.22	33
60.15	28
50.31	24
34.75	17
59.53	15
62.90	12
50.66	12
81.89	12
82.44	6

a = 3.6273 Å, b = 3.6273 Å, c = 3.6273 Å
α = 120.43°, β = 120.43°, γ = 89.25°
Fractional coordinates of all 1 atoms:
Sm: 0.0000 0.0000 0.0000

The following is a theoretical XRD peak list of Sm. It was derived from DFT lattice parameters and positions (PBE), using CuKα.

Main lines, most intense first (2θ from 15° to 90°):
2θ (°)	Rel. int.
30.55	100
32.25	58
53.21	32
56.45	27
33.87	25
63.60	9
38.37	9
46.25	8
87.50	8
86.62	7

a = 8.7779 Å, b = 8.7779 Å, c = 8.7779 Å
α = 90.00°, β = 90.00°, γ = 90.00°
Fractional coordinates of all 20 atoms:
Sm: 0.0441 0.1250 0.7941
Sm: 0.0616 0.9384 0.4384
Sm: 0.1250 0.7941 0.0441
Sm: 0.1884 0.1884 0.1884
Sm: 0.2059 0.5441 0.3750
Sm: 0.2941 0.4559 0.8750
Sm: 0.3116 0.8116 0.6884
Sm: 0.3750 0.2059 0.5441
Sm: 0.4384 0.0616 0.9384
Sm: 0.4559 0.8750 0.2941
Sm: 0.5441 0.3750 0.2059
Sm: 0.5616 0.5616 0.5616
Sm: 0.6250 0.7059 0.9559
Sm: 0.6884 0.3116 0.8116
Sm: 0.7059 0.9559 0.6250
Sm: 0.7941 0.0441 0.1250
Sm: 0.8116 0.6884 0.3116
Sm: 0.8750 0.2941 0.4559
Sm: 0.9384 0.4384 0.0616
Sm: 0.9559 0.6250 0.7059

The following is a theoretical XRD peak list of Sm. It was derived from DFT lattice parameters and positions (PBE), using CuKα.

Main lines, most intense first (2θ from 15° to 90°):
2θ (°)	Rel. int.
30.35	100
35.19	51
60.17	43
50.62	36
85.05	16
82.38	13
63.11	9
74.39	6
82.51	4
63.22	3

a = 3.6089 Å, b = 3.6089 Å, c = 8.8245 Å
α = 90.00°, β = 90.00°, γ = 120.00°
Fractional coordinates of all 3 atoms:
Sm: 0.0000 0.3283 0.1667
Sm: 0.3283 0.0000 0.8333
Sm: 0.6717 0.6717 0.5000

The following is a theoretical XRD peak list of Sm3SnTe2. It was derived from DFT lattice parameters and positions (PBE), using CuKα.

Main lines, most intense first (2θ from 15° to 90°):
2θ (°)	Rel. int.
28.27	100
40.40	64
50.02	20
66.19	18
73.49	15
40.46	13
66.28	12
58.52	9
50.13	7
73.38	6

a = 7.7348 Å, b = 7.7348 Å, c = 7.7267 Å
α = 99.68°, β = 99.68°, γ = 119.91°
Fractional coordinates of all 12 atoms:
Sm: 0.0000 0.5000 0.0000
Sm: 0.1591 0.3183 0.4987
Sm: 0.3183 0.1591 0.9987
Sm: 0.5000 0.0000 0.5000
Sm: 0.6817 0.8409 0.0013
Sm: 0.8409 0.6817 0.5013
Sn: 0.0863 0.9137 0.2500
Sn: 0.9137 0.0863 0.7500
Te: 0.2530 0.7470 0.7500
Te: 0.4173 0.5827 0.2500
Te: 0.5827 0.4173 0.7500
Te: 0.7470 0.2530 0.2500